(1)
# ReP3
Simulated PXRD pattern, copper Kα. Input: a crystal structure in Alexandria, relaxed with GGA-PBE.
Intensities are scaled so that the largest is 100.

The 10 most intense peaks (5 to 70 degrees two-theta), low angle first:
2θ/deg  I/Imax
14.14  100
15.17  14
23.98  11
34.27  26
36.37  21
45.14  6
45.52  17
46.64  8
47.54  9
49.17  20

Atomic structure:
```
8
Lattice="3.710 -5.840 0.000 3.710 5.840 0.000 0.000 0.000 4.017" Properties=species:S:1:pos:R:3 pbc="T T T"
Re 3.710 4.978 3.013
Re 3.710 -4.978 1.004
P 1.548 1.067 3.013
P 3.710 3.178 1.004
P 1.548 -1.067 1.004
P 5.872 1.067 3.013
P 3.710 -3.178 3.013
P 5.872 -1.067 1.004
```

(2)
# Co5Te6
Simulated PXRD pattern, copper Kα. Input: a crystal structure in Alexandria, relaxed with GGA-PBE.
Intensities are scaled so that the largest is 100.

The 10 most intense peaks (5 to 70 degrees two-theta), low angle first:
2θ/deg  I/Imax
16.19  2
16.69  2
18.86  2
31.47  100
33.75  6
43.41  45
46.76  44
57.45  18
58.93  24
65.70  12

Atomic structure:
```
11
Lattice="3.365 1.943 5.311 -3.365 1.943 5.311 0.000 -3.886 5.311" Properties=species:S:1:pos:R:3 pbc="T T T"
Co 0.000 0.000 0.000
Co 0.000 0.000 2.661
Co 0.000 0.000 5.397
Co 0.000 0.000 10.536
Co 0.000 0.000 13.272
Te -1.148 -1.949 6.603
Te -2.262 0.020 9.330
Te -1.114 1.969 6.603
Te 1.114 -1.969 9.330
Te 2.262 -0.020 6.603
Te 1.148 1.949 9.330
```

(3)
# KAuC2S2N2
Simulated PXRD pattern, copper Kα. Input: a crystal structure in Alexandria, relaxed with GGA-PBE.
Intensities are scaled so that the largest is 100.

The 10 most intense peaks (5 to 70 degrees two-theta), low angle first:
2θ/deg  I/Imax
10.20  67
13.18  100
19.60  45
20.48  18
26.55  17
29.91  22
32.09  19
33.64  23
38.31  20
40.28  14

Atomic structure:
```
32
Lattice="7.285 -3.032 0.000 7.285 3.032 0.000 -7.265 0.000 17.344" Properties=species:S:1:pos:R:3 pbc="T T T"
K -1.654 1.731 16.728
K 5.327 1.731 9.288
K 1.979 -1.731 8.056
K 8.959 -1.731 0.616
Au 1.837 2.448 13.008
Au 5.469 0.556 4.336
Au 1.837 -0.556 13.008
Au 5.469 -2.448 4.336
C 0.639 1.114 10.309
C 3.198 1.232 6.400
C 7.740 1.232 2.272
C 3.034 1.114 15.706
C 4.272 -1.114 1.637
C -0.434 -1.232 15.071
C 4.108 -1.232 10.944
C 6.667 -1.114 7.035
S -0.677 0.392 6.387
S -4.309 -0.392 15.058
S 3.209 0.414 4.960
S -0.423 -0.414 13.632
S 7.729 0.414 3.712
S 4.096 -0.414 12.384
S 11.615 0.392 2.285
S 7.982 -0.392 10.957
N 3.131 1.779 7.446
N 7.807 1.779 1.225
N 0.550 0.057 9.789
N 4.183 -0.057 1.117
N 3.123 0.057 16.226
N 6.755 -0.057 7.554
N -0.501 -1.779 16.118
N 4.175 -1.779 9.897
```